1.
Starting from DFT lattice parameters and positions (PBE), the PXRD pattern of TiBe2Au was computed for CuKα.
Neutral-atom scattering factors, no anomalous dispersion.

Crystal structure
Unit cell a=3.158 b=17.612 c=3.734 alpha=90.00 beta=90.00 gamma=90.00
Atoms (fractional coordinates):
Ti (0.000, 0.204, 0.250)
Ti (0.000, 0.796, 0.750)
Ti (0.500, 0.296, 0.750)
Ti (0.500, 0.704, 0.250)
Be (0.000, 0.054, 0.750)
Be (0.000, 0.347, 0.250)
Be (0.000, 0.653, 0.750)
Be (0.000, 0.946, 0.250)
Be (0.500, 0.153, 0.750)
Be (0.500, 0.446, 0.250)
Be (0.500, 0.554, 0.750)
Be (0.500, 0.847, 0.250)
Au (0.000, 0.435, 0.750)
Au (0.000, 0.565, 0.250)
Au (0.500, 0.065, 0.250)
Au (0.500, 0.935, 0.750)

Most intense lines, 2θ from 10° to 80°, by intensity:
- 10.04°, intensity 100.0
- 40.44°, intensity 81.2
- 25.92°, intensity 68.3
- 28.72°, intensity 56.8
- 45.59°, intensity 40.7
- 31.41°, intensity 38.0

2.
Starting from DFT lattice parameters and positions (PBE), the PXRD pattern of BaInAs was computed for CuKα.
Neutral-atom scattering factors, no anomalous dispersion.

Crystal structure
Unit cell a=8.037 b=5.060 c=9.803 alpha=90.00 beta=90.00 gamma=90.00
Atoms (fractional coordinates):
Ba (0.134, 0.250, 0.160)
Ba (0.366, 0.750, 0.660)
Ba (0.634, 0.250, 0.340)
Ba (0.866, 0.750, 0.840)
In (0.010, 0.750, 0.422)
In (0.490, 0.250, 0.922)
In (0.510, 0.750, 0.078)
In (0.990, 0.250, 0.578)
As (0.157, 0.250, 0.822)
As (0.343, 0.750, 0.322)
As (0.657, 0.250, 0.678)
As (0.843, 0.750, 0.178)

Most intense lines, 2θ from 10° to 80°, by intensity:
- 27.66°, intensity 100.0
- 28.36°, intensity 80.5
- 35.48°, intensity 70.2
- 34.53°, intensity 69.8
- 22.66°, intensity 62.0
- 34.71°, intensity 49.8

3.
Starting from DFT lattice parameters and positions (PBE), the PXRD pattern of Zn2InPt was computed for CuKα.
Neutral-atom scattering factors, no anomalous dispersion.

Crystal structure
Unit cell a=7.819 b=7.819 c=5.252 alpha=90.00 beta=90.00 gamma=90.00
Atoms (fractional coordinates):
Zn (0.193, 0.250, 0.125)
Zn (0.250, 0.693, 0.375)
Zn (0.250, 0.807, 0.875)
Zn (0.307, 0.250, 0.625)
Zn (0.693, 0.750, 0.625)
Zn (0.750, 0.193, 0.875)
Zn (0.750, 0.307, 0.375)
Zn (0.807, 0.750, 0.125)
In (0.000, 0.000, 0.500)
In (0.000, 0.500, 0.750)
In (0.500, 0.000, 0.250)
In (0.500, 0.500, 0.000)
Pt (0.000, 0.000, 0.000)
Pt (0.000, 0.500, 0.250)
Pt (0.500, 0.000, 0.750)
Pt (0.500, 0.500, 0.500)

Most intense lines, 2θ from 10° to 80°, by intensity:
- 32.39°, intensity 100.0
- 37.93°, intensity 85.0
- 50.71°, intensity 68.5
- 22.75°, intensity 46.1
- 46.46°, intensity 32.0
- 71.21°, intensity 23.0

4.
Starting from DFT lattice parameters and positions (PBE), the PXRD pattern of Dy5Y5Bi6 was computed for CuKα.
Neutral-atom scattering factors, no anomalous dispersion.

Crystal structure
Unit cell a=6.390 b=9.193 c=9.193 alpha=120.00 beta=90.00 gamma=90.00
Atoms (fractional coordinates):
Dy (0.000, 0.000, 0.000)
Dy (0.250, 0.089, 0.422)
Dy (0.250, 0.422, 0.089)
Dy (0.750, 0.089, 0.422)
Dy (0.750, 0.422, 0.089)
Y (0.000, 0.511, 0.756)
Y (0.000, 0.756, 0.511)
Y (0.500, 0.000, 0.756)
Y (0.500, 0.511, 0.511)
Y (0.500, 0.756, 0.000)
Bi (0.000, 0.144, 0.756)
Bi (0.000, 0.366, 0.366)
Bi (0.000, 0.756, 0.144)
Bi (0.500, 0.144, 0.144)
Bi (0.500, 0.367, 0.756)
Bi (0.500, 0.756, 0.367)

Most intense lines, 2θ from 10° to 80°, by intensity:
- 34.18°, intensity 100.0
- 32.90°, intensity 97.1
- 33.78°, intensity 70.7
- 23.85°, intensity 36.4
- 11.11°, intensity 36.3
- 52.65°, intensity 30.6

5.
Starting from DFT lattice parameters and positions (PBE), the PXRD pattern of Pm2Pr3Si3 was computed for CuKα.
Neutral-atom scattering factors, no anomalous dispersion.

Crystal structure
Unit cell a=4.057 b=5.066 c=20.998 alpha=90.00 beta=90.00 gamma=90.00
Atoms (fractional coordinates):
Pm (0.000, 0.000, 0.229)
Pm (0.000, 0.000, 0.771)
Pm (0.500, 0.500, 0.271)
Pm (0.500, 0.500, 0.729)
Pr (0.000, 0.000, 0.000)
Pr (0.000, 0.500, 0.111)
Pr (0.000, 0.500, 0.889)
Pr (0.500, 0.000, 0.389)
Pr (0.500, 0.000, 0.611)
Pr (0.500, 0.500, 0.500)
Si (0.000, 0.000, 0.500)
Si (0.000, 0.500, 0.373)
Si (0.000, 0.500, 0.627)
Si (0.500, 0.000, 0.127)
Si (0.500, 0.000, 0.873)
Si (0.500, 0.500, 0.000)

Most intense lines, 2θ from 10° to 80°, by intensity:
- 33.03°, intensity 100.0
- 27.59°, intensity 39.3
- 22.32°, intensity 25.8
- 35.44°, intensity 24.1
- 62.10°, intensity 16.1
- 44.81°, intensity 15.7

6.
Starting from DFT lattice parameters and positions (PBE), the PXRD pattern of TbHoCdTc was computed for CuKα.
Neutral-atom scattering factors, no anomalous dispersion.

Crystal structure
Unit cell a=7.126 b=7.126 c=7.126 alpha=90.00 beta=90.00 gamma=90.00
Atoms (fractional coordinates):
Tb (0.000, 0.000, 0.000)
Tb (0.000, 0.500, 0.500)
Tb (0.500, 0.000, 0.500)
Tb (0.500, 0.500, 0.000)
Ho (0.000, 0.000, 0.500)
Ho (0.000, 0.500, 0.000)
Ho (0.500, 0.000, 0.000)
Ho (0.500, 0.500, 0.500)
Cd (0.250, 0.250, 0.250)
Cd (0.250, 0.750, 0.750)
Cd (0.750, 0.250, 0.750)
Cd (0.750, 0.750, 0.250)
Tc (0.250, 0.250, 0.750)
Tc (0.250, 0.750, 0.250)
Tc (0.750, 0.250, 0.250)
Tc (0.750, 0.750, 0.750)

Most intense lines, 2θ from 10° to 80°, by intensity:
- 35.64°, intensity 100.0
- 64.01°, intensity 35.7
- 51.28°, intensity 17.6
- 75.47°, intensity 11.0
- 24.99°, intensity 4.6
- 57.87°, intensity 2.1

7.
Starting from DFT lattice parameters and positions (PBE), the PXRD pattern of Dy2B10Ir was computed for CuKα.
Neutral-atom scattering factors, no anomalous dispersion.

Crystal structure
Unit cell a=5.690 b=11.329 c=4.172 alpha=90.00 beta=90.00 gamma=90.00
Atoms (fractional coordinates):
Dy (0.205, 0.134, 0.000)
Dy (0.295, 0.634, 0.000)
Dy (0.705, 0.366, 0.000)
Dy (0.795, 0.866, 0.000)
B (0.056, 0.307, 0.500)
B (0.119, 0.957, 0.500)
B (0.136, 0.803, 0.500)
B (0.220, 0.381, 0.199)
B (0.220, 0.381, 0.801)
B (0.280, 0.881, 0.199)
B (0.280, 0.881, 0.801)
B (0.364, 0.303, 0.500)
B (0.381, 0.457, 0.500)
B (0.444, 0.807, 0.500)
B (0.556, 0.193, 0.500)
B (0.619, 0.543, 0.500)
B (0.636, 0.697, 0.500)
B (0.720, 0.119, 0.199)
B (0.720, 0.119, 0.801)
B (0.780, 0.619, 0.199)
B (0.780, 0.619, 0.801)
B (0.864, 0.197, 0.500)
B (0.881, 0.043, 0.500)
B (0.944, 0.693, 0.500)
Ir (0.000, 0.500, 0.500)
Ir (0.500, 0.000, 0.500)

Most intense lines, 2θ from 10° to 80°, by intensity:
- 30.91°, intensity 100.0
- 38.41°, intensity 78.6
- 27.66°, intensity 75.9
- 22.14°, intensity 71.6
- 38.29°, intensity 66.2
- 45.17°, intensity 41.8

8.
Starting from DFT lattice parameters and positions (PBE), the PXRD pattern of Ac3Al3Si2 was computed for CuKα.
Neutral-atom scattering factors, no anomalous dispersion.

Crystal structure
Unit cell a=6.437 b=6.437 c=16.764 alpha=90.00 beta=90.00 gamma=141.30
Atoms (fractional coordinates):
Ac (0.042, 0.958, 0.750)
Ac (0.343, 0.657, 0.590)
Ac (0.343, 0.657, 0.910)
Ac (0.657, 0.343, 0.090)
Ac (0.657, 0.343, 0.410)
Ac (0.958, 0.042, 0.250)
Al (0.066, 0.934, 0.558)
Al (0.066, 0.934, 0.942)
Al (0.235, 0.765, 0.250)
Al (0.765, 0.235, 0.750)
Al (0.934, 0.066, 0.058)
Al (0.934, 0.066, 0.442)
Si (0.365, 0.635, 0.121)
Si (0.365, 0.635, 0.379)
Si (0.635, 0.365, 0.621)
Si (0.635, 0.365, 0.879)

Most intense lines, 2θ from 10° to 80°, by intensity:
- 30.44°, intensity 100.0
- 21.61°, intensity 99.5
- 30.80°, intensity 79.5
- 24.54°, intensity 65.5
- 27.31°, intensity 64.6
- 44.77°, intensity 63.9

9.
Starting from DFT lattice parameters and positions (PBE), the PXRD pattern of Cd2HgB was computed for CuKα.
Neutral-atom scattering factors, no anomalous dispersion.

Crystal structure
Unit cell a=6.287 b=6.287 c=11.600 alpha=90.00 beta=90.00 gamma=90.00
Atoms (fractional coordinates):
Cd (0.094, 0.250, 0.125)
Cd (0.250, 0.594, 0.375)
Cd (0.250, 0.906, 0.875)
Cd (0.406, 0.250, 0.625)
Cd (0.594, 0.750, 0.625)
Cd (0.750, 0.094, 0.875)
Cd (0.750, 0.406, 0.375)
Cd (0.906, 0.750, 0.125)
Hg (0.000, 0.000, 0.500)
Hg (0.000, 0.500, 0.750)
Hg (0.500, 0.000, 0.250)
Hg (0.500, 0.500, 0.000)
B (0.000, 0.000, 0.000)
B (0.000, 0.500, 0.250)
B (0.500, 0.000, 0.750)
B (0.500, 0.500, 0.500)

Most intense lines, 2θ from 10° to 80°, by intensity:
- 32.78°, intensity 100.0
- 25.24°, intensity 90.2
- 27.07°, intensity 66.9
- 42.41°, intensity 29.9
- 48.40°, intensity 23.9
- 41.49°, intensity 21.8

10.
Starting from DFT lattice parameters and positions (PBE), the PXRD pattern of ZnAg2I4 was computed for CuKα.
Neutral-atom scattering factors, no anomalous dispersion.

Crystal structure
Unit cell a=9.235 b=7.746 c=7.412 alpha=90.00 beta=90.00 gamma=90.00
Atoms (fractional coordinates):
Zn (0.000, 0.176, 0.000)
Zn (0.500, 0.824, 0.500)
Ag (0.247, 0.677, 0.999)
Ag (0.253, 0.323, 0.499)
Ag (0.747, 0.323, 0.499)
Ag (0.753, 0.677, 0.999)
I (0.000, 0.158, 0.643)
I (0.000, 0.857, 0.136)
I (0.243, 0.323, 0.112)
I (0.257, 0.677, 0.612)
I (0.500, 0.143, 0.636)
I (0.500, 0.842, 0.143)
I (0.743, 0.677, 0.612)
I (0.757, 0.323, 0.112)

Most intense lines, 2θ from 10° to 80°, by intensity:
- 22.42°, intensity 100.0
- 43.14°, intensity 91.8
- 24.01°, intensity 91.3
- 25.47°, intensity 89.2
- 40.01°, intensity 85.6
- 47.20°, intensity 54.5

11.
Starting from DFT lattice parameters and positions (PBE), the PXRD pattern of Tb3TmGe4 was computed for CuKα.
Neutral-atom scattering factors, no anomalous dispersion.

Crystal structure
Unit cell a=4.031 b=6.348 c=15.726 alpha=90.00 beta=90.00 gamma=90.00
Atoms (fractional coordinates):
Tb (0.000, 0.000, 0.000)
Tb (0.000, 0.500, 0.195)
Tb (0.000, 0.500, 0.805)
Tb (0.500, 0.000, 0.305)
Tb (0.500, 0.000, 0.695)
Tb (0.500, 0.500, 0.500)
Tm (0.000, 0.000, 0.500)
Tm (0.500, 0.500, 0.000)
Ge (0.000, 0.305, 0.369)
Ge (0.000, 0.305, 0.631)
Ge (0.000, 0.695, 0.369)
Ge (0.000, 0.695, 0.631)
Ge (0.500, 0.195, 0.131)
Ge (0.500, 0.195, 0.869)
Ge (0.500, 0.805, 0.131)
Ge (0.500, 0.805, 0.869)

Most intense lines, 2θ from 10° to 80°, by intensity:
- 28.59°, intensity 100.0
- 36.38°, intensity 30.4
- 40.04°, intensity 26.0
- 34.87°, intensity 23.8
- 69.28°, intensity 20.9
- 46.26°, intensity 20.1

12.
Starting from DFT lattice parameters and positions (PBE), the PXRD pattern of Mg2RuC was computed for CuKα.
Neutral-atom scattering factors, no anomalous dispersion.

Crystal structure
Unit cell a=8.327 b=8.327 c=3.921 alpha=90.00 beta=90.00 gamma=90.00
Atoms (fractional coordinates):
Mg (0.092, 0.250, 0.125)
Mg (0.250, 0.592, 0.375)
Mg (0.250, 0.908, 0.875)
Mg (0.408, 0.250, 0.625)
Mg (0.592, 0.750, 0.625)
Mg (0.750, 0.092, 0.875)
Mg (0.750, 0.408, 0.375)
Mg (0.908, 0.750, 0.125)
Ru (0.000, 0.000, 0.500)
Ru (0.000, 0.500, 0.750)
Ru (0.500, 0.000, 0.250)
Ru (0.500, 0.500, 0.000)
C (0.000, 0.000, 0.000)
C (0.000, 0.500, 0.250)
C (0.500, 0.000, 0.750)
C (0.500, 0.500, 0.500)

Most intense lines, 2θ from 10° to 80°, by intensity:
- 33.18°, intensity 100.0
- 21.34°, intensity 96.2
- 48.94°, intensity 66.5
- 30.36°, intensity 34.3
- 58.71°, intensity 29.1
- 25.10°, intensity 23.5